(1)
Li2ZnCdP2: theoretical powder XRD pattern (Cu Ka), based on a PBE-relaxed structure.
Intensities are scaled so that the largest is 100.

Cell lengths 4.2021, 4.2021, 20.6425 Å; angles 90.00, 90.00, 120.00 degrees
Space group R3m (No. 160, hexagonal axes)
Inequivalent atoms, fractional coordinates:
Li: 0.0000 0.0000 0.0000 [3 per cell]
Li: 0.0000 0.0000 0.4974 [3 per cell]
Zn: 0.0000 0.0000 0.7491 [3 per cell]
Cd: 0.0000 0.0000 0.2490 [3 per cell]
P: 0.0000 0.0000 0.1208 [3 per cell]
P: 0.0000 0.0000 0.6297 [3 per cell]

The 6 most intense peaks (5 to 70 degrees two-theta), in order of rising 2θ:
| 2theta | Rel. int. | index |
| --- | --- | --- |
| 25.95 | 100 | 0 1 2 |
| 30.05 | 27 | 1 0 4 |
| 43.01 | 71 | 1 1 0 |
| 50.90 | 33 | 1 0 10 |
| 50.96 | 11 | 2 0 2 |
| 62.45 | 11 | 2 0 8 |

=====

(2)
Li4CdPb10: theoretical powder XRD pattern (Cu Ka), based on a PBE-relaxed structure.
Intensities are scaled so that the largest is 100.

Cell lengths 10.9907, 10.9907, 6.9448 Å; angles 90.00, 90.00, 90.00 degrees
Space group I4/m (No. 87)
Inequivalent atoms, fractional coordinates:
Li: 0.1004 0.3019 0.0000 [8 per cell]
Cd: 0.0000 0.0000 0.5000 [2 per cell]
Pb: 0.0000 0.5000 0.2500 [4 per cell]
Pb: 0.1018 0.7926 0.2409 [16 per cell]

The 6 most intense peaks (5 to 70 degrees two-theta), in order of rising 2θ:
| 2theta | Rel. int. | index |
| --- | --- | --- |
| 25.64 | 95 | 1 3 0 |
| 36.57 | 100 | 4 2 0 |
| 45.20 | 28 | 4 2 2 |
| 52.69 | 17 | 2 6 0 |
| 59.49 | 38 | 7 1 0 |
| 65.84 | 36 | 7 1 2 |

=====

(3)
LiCdPb3: theoretical powder XRD pattern (Cu Ka), based on a PBE-relaxed structure.
Intensities are scaled so that the largest is 100.

Cell lengths 8.6343, 6.2470, 10.4962 Å; angles 90.00, 106.31, 90.00 degrees
Space group P2_1/c (No. 14)
Inequivalent atoms, fractional coordinates:
Li: 0.1412 0.2445 0.1608 [4 per cell]
Cd: 0.2034 0.0023 0.9265 [4 per cell]
Pb: 0.1140 0.7390 0.1532 [4 per cell]
Pb: 0.2994 0.0066 0.4479 [4 per cell]
Pb: 0.4935 0.0031 0.1877 [4 per cell]

The 6 most intense peaks (5 to 70 degrees two-theta), in order of rising 2θ:
| 2theta | Rel. int. | index |
| --- | --- | --- |
| 30.59 | 100 | 1 2 0 |
| 31.58 | 91 | 2 0 2 |
| 32.29 | 95 | 3 0 -2 |
| 34.18 | 72 | 1 0 -4 |
| 37.06 | 99 | 1 2 2 |
| 37.43 | 100 | 2 2 -2 |

=====

(4)
Li3Cd6Pb2: theoretical powder XRD pattern (Cu Ka), based on a PBE-relaxed structure.
Intensities are scaled so that the largest is 100.

Cell lengths 4.7689, 7.5322, 8.1166 Å; angles 116.70, 106.68, 90.49 degrees
Space group P-1 (No. 2)
Inequivalent atoms, fractional coordinates:
Li: 0.0000 0.0000 0.0000 [1 per cell]
Li: 0.2985 0.2580 0.5945 [2 per cell]
Cd: 0.1286 0.8351 0.2601 [2 per cell]
Cd: 0.3413 0.8848 0.6858 [2 per cell]
Cd: 0.4904 0.6898 0.9851 [2 per cell]
Pb: 0.1574 0.4329 0.3113 [2 per cell]

The 6 most intense peaks (5 to 70 degrees two-theta), in order of rising 2θ:
| 2theta | Rel. int. | index |
| --- | --- | --- |
| 23.63 | 51 | 0 2 -1 |
| 27.02 | 79 | 1 0 -2 |
| 34.21 | 64 | 1 1 1 |
| 36.26 | 100 | 1 -2 2 |
| 36.53 | 59 | 1 2 -3 |
| 37.73 | 70 | 2 0 -1 |

=====

Number 3 is which compound? LiCdPb3